[1]
This entry pairs a crystal structure of SrCu2H8Rh3 with its simulated powder X-ray diffraction pattern. Radiation: a wavelength of 1.5418 Å. Structure: a DFT-relaxed cell (PBE, Alexandria).
Peak positions follow from Bragg's law for the DFT cell and can differ from measured ones.

a b c (Å): 5.6364 5.6364 5.6364
angles (deg): 61.76 61.76 61.76
Sites, in units of the cell vectors:
Sr 0.0000 0.0000 0.0000
Cu 0.3832 0.3832 0.3832
Cu 0.7501 0.7501 0.7501
H 0.1566 0.1566 0.5199
H 0.1566 0.5199 0.1566
H 0.1609 0.6333 0.6333
H 0.1642 0.1642 0.1642
H 0.5199 0.1566 0.1566
H 0.6206 0.6206 0.6206
H 0.6333 0.1609 0.6333
H 0.6333 0.6333 0.1609
Rh 0.3813 0.3813 0.8727
Rh 0.3813 0.8727 0.3813
Rh 0.8727 0.3813 0.3813

Peak list (10 most intense, 10° ≤ 2θ ≤ 80°, by intensity)
Position (°2θ)  Rel. int.
36.84  100
36.47  81
38.28  79
37.58  48
31.77  35
64.42  34
66.39  31
58.92  25
59.44  24
39.71  23

***

[2]
This entry pairs a crystal structure of RbN6 with its simulated powder X-ray diffraction pattern. Radiation: a wavelength of 1.5418 Å. Structure: a DFT-relaxed cell (PBE, Alexandria).
Peak positions follow from Bragg's law for the DFT cell and can differ from measured ones.

a b c (Å): 4.9492 4.9492 5.5246
angles (deg): 90.00 90.00 90.00
Sites, in units of the cell vectors:
Rb 0.0000 0.0000 0.0000
N 0.0000 0.5000 0.3972
N 0.0000 0.5000 0.6028
N 0.5000 0.0000 0.3972
N 0.5000 0.0000 0.6028
N 0.5000 0.5000 0.1029
N 0.5000 0.5000 0.8971

Peak list (10 most intense, 10° ≤ 2θ ≤ 80°, by intensity)
Position (°2θ)  Rel. int.
30.23  100
36.30  35
24.14  29
17.92  23
61.59  20
16.04  18
53.03  18
37.28  15
49.46  14
44.08  13

***

[3]
This entry pairs a crystal structure of TbPm3Pr4 with its simulated powder X-ray diffraction pattern. Radiation: a wavelength of 1.5418 Å. Structure: a DFT-relaxed cell (PBE, Alexandria).
Peak positions follow from Bragg's law for the DFT cell and can differ from measured ones.

a b c (Å): 12.4752 12.4752 6.3858
angles (deg): 104.83 104.83 17.00
Sites, in units of the cell vectors:
Tb 0.0000 0.0000 0.0000
Pm 0.2496 0.2496 0.2497
Pm 0.5000 0.5000 0.5000
Pm 0.7504 0.7504 0.7503
Pr 0.1247 0.1247 0.7918
Pr 0.3758 0.3758 0.7081
Pr 0.6242 0.6242 0.2919
Pr 0.8753 0.8753 0.2082

Peak list (10 most intense, 10° ≤ 2θ ≤ 80°, by intensity)
Position (°2θ)  Rel. int.
31.80  100
28.95  40
29.99  34
58.91  30
49.44  25
36.09  22
54.40  22
59.99  16
47.61  10
27.94  9

***

[4]
This entry pairs a crystal structure of YPd3Au with its simulated powder X-ray diffraction pattern. Radiation: a wavelength of 1.5418 Å. Structure: a DFT-relaxed cell (PBE, Alexandria).
Peak positions follow from Bragg's law for the DFT cell and can differ from measured ones.

a b c (Å): 4.5102 6.0185 7.0038
angles (deg): 90.00 90.00 90.00
Sites, in units of the cell vectors:
Y 0.2500 0.2500 0.2086
Y 0.7500 0.7500 0.7914
Pd 0.2500 0.0324 0.7538
Pd 0.2500 0.4676 0.7538
Pd 0.2500 0.7500 0.0671
Pd 0.7500 0.2500 0.9329
Pd 0.7500 0.5324 0.2462
Pd 0.7500 0.9676 0.2462
Au 0.2500 0.7500 0.4482
Au 0.7500 0.2500 0.5518

Peak list (10 most intense, 10° ≤ 2θ ≤ 80°, by intensity)
Position (°2θ)  Rel. int.
38.18  100
35.73  96
39.98  53
43.66  39
39.48  36
24.67  29
57.45  24
41.49  21
78.20  21
27.81  19

***

[5]
This entry pairs a crystal structure of Th6Si3AsSe2 with its simulated powder X-ray diffraction pattern. Radiation: a wavelength of 1.5418 Å. Structure: a DFT-relaxed cell (PBE, Alexandria).
Peak positions follow from Bragg's law for the DFT cell and can differ from measured ones.

a b c (Å): 9.5162 9.5162 8.5175
angles (deg): 102.87 102.87 25.83
Sites, in units of the cell vectors:
Th 0.0037 0.0037 0.2466
Th 0.3319 0.3319 0.4273
Th 0.3376 0.3376 0.9074
Th 0.6624 0.6624 0.0926
Th 0.6681 0.6681 0.5727
Th 0.9963 0.9963 0.7534
Si 0.1677 0.1677 0.3330
Si 0.5000 0.5000 0.0000
Si 0.8323 0.8323 0.6670
As 0.5000 0.5000 0.5000
Se 0.1670 0.1670 0.8341
Se 0.8330 0.8330 0.1659

Peak list (10 most intense, 10° ≤ 2θ ≤ 80°, by intensity)
Position (°2θ)  Rel. int.
29.68  100
42.48  76
25.63  70
50.27  35
69.89  34
52.67  27
77.71  21
61.63  12
67.86  11
77.77  4

***

[6]
This entry pairs a crystal structure of BiAu2Cl8 with its simulated powder X-ray diffraction pattern. Radiation: a wavelength of 1.5418 Å. Structure: a DFT-relaxed cell (PBE, Alexandria).
Peak positions follow from Bragg's law for the DFT cell and can differ from measured ones.

a b c (Å): 7.3719 7.3719 6.9641
angles (deg): 101.07 101.07 65.62
Sites, in units of the cell vectors:
Bi 0.0000 0.0000 0.0000
Au 0.2443 0.2443 0.7495
Au 0.7557 0.7557 0.2505
Cl 0.0992 0.6845 0.2128
Cl 0.1735 0.1735 0.2959
Cl 0.3155 0.9008 0.7872
Cl 0.4237 0.4237 0.7254
Cl 0.5763 0.5763 0.2746
Cl 0.6845 0.0992 0.2128
Cl 0.8265 0.8265 0.7041
Cl 0.9008 0.3155 0.7872

Peak list (10 most intense, 10° ≤ 2θ ≤ 80°, by intensity)
Position (°2θ)  Rel. int.
19.83  100
22.26  41
25.59  38
13.29  32
37.35  32
35.31  27
28.33  21
33.14  18
41.15  18
40.28  18